Structure and computed XRD peak list of Mg14VZn (a crystal structure in the Materials Project, relaxed with GGA-PBE; CuKα).

Largest 10 diffraction maxima, sorted by position, 2θ from 10° to 90°:
| hkl | 2θ (°) | d/Å | I/Imax |
| --- | --- | --- | --- |
| 1 0 0 | 16.26 | 5.452 | 12.9 |
| 1 0 2 | 24.03 | 3.703 | 8.1 |
| 2 0 0 | 32.86 | 2.726 | 25.5 |
| 0 0 4 | 35.59 | 2.522 | 25.6 |
| 2 0 2 | 37.50 | 2.398 | 100.0 |
| 2 0 4 | 49.21 | 1.851 | 15.6 |
| 2 2 0 | 58.66 | 1.574 | 16.8 |
| 2 0 6 | 65.18 | 1.431 | 18.1 |
| 2 2 4 | 70.53 | 1.335 | 18.5 |
| 4 0 2 | 71.73 | 1.316 | 13.3 |

Cell and atoms:
Lattice parameters (Å, degrees): 6.2954 6.2954 10.0896 90.00 90.00 120.00
Space group P-6m2 (No. 187)
One atom of each set of equivalent atoms:
1 Mg 0.0000 0.0000 0.2497
2 Mg 0.0077 0.5039 0.2503
3 Mg 0.3322 0.1661 0.0000
4 Mg 0.3354 0.1677 0.5000
5 V 0.3333 0.6667 0.5000
6 Zn 0.3333 0.6667 0.0000

---

Structure and computed XRD peak list of Mg6CrFe (a crystal structure in the Materials Project, relaxed with GGA-PBE; CuKα).

Largest 10 diffraction maxima, sorted by position, 2θ from 10° to 90°:
| hkl | 2θ (°) | d/Å | I/Imax |
| --- | --- | --- | --- |
| 0 1 1 | 16.86 | 5.257 | 35.6 |
| 0 0 4 | 33.97 | 2.639 | 12.6 |
| 0 2 2 | 34.15 | 2.626 | 24.0 |
| 2 0 0 | 36.88 | 2.437 | 39.4 |
| 1 0 4 | 38.80 | 2.321 | 49.9 |
| 1 2 2 | 38.96 | 2.312 | 100.0 |
| 2 2 2 | 51.13 | 1.786 | 14.2 |
| 0 2 6 | 60.90 | 1.521 | 16.0 |
| 3 2 2 | 67.83 | 1.382 | 17.4 |
| 2 2 6 | 73.37 | 1.290 | 17.5 |

Cell and atoms:
Lattice parameters (Å, degrees): 4.875 6.054 10.557 90.00 90.00 90.00
Space group Amm2 (No. 38)
One atom of each set of equivalent atoms:
1 Mg 0.000 0.000 0.000
2 Mg 0.000 0.236 0.744
3 Mg 0.500 0.000 0.167
4 Mg 0.500 0.241 0.422
5 Cr 0.000 0.000 0.505
6 Fe 0.500 0.000 0.663

---

Structure and computed XRD peak list of Ca5Cu6O12 (a crystal structure in the Materials Project, relaxed with GGA-PBE; CuKα).

Largest 10 diffraction maxima, sorted by position, 2θ from 10° to 90°:
| hkl | 2θ (°) | d/Å | I/Imax |
| --- | --- | --- | --- |
| 1 0 0 | 16.77 | 5.286 | 26.0 |
| 0 2 0 | 27.59 | 3.233 | 27.8 |
| 0 1 5 | 30.48 | 2.933 | 11.8 |
| 1 2 0 | 32.46 | 2.758 | 100.0 |
| 2 0 0 | 33.91 | 2.643 | 20.2 |
| 1 1 -6 | 35.56 | 2.524 | 29.9 |
| 1 1 6 | 43.25 | 2.092 | 62.9 |
| 3 1 -6 | 56.06 | 1.640 | 28.5 |
| 3 2 0 | 59.78 | 1.547 | 15.5 |
| 2 3 -6 | 59.94 | 1.543 | 18.1 |

Cell and atoms:
Lattice parameters (Å, degrees): 5.472 6.466 17.034 90.00 104.97 90.00
Space group P2/c (No. 13)
One atom of each set of equivalent atoms:
1 Ca 0.000 0.244 0.250
2 Ca 0.005 0.249 0.452
3 Ca 0.009 0.254 0.855
4 Cu 0.494 0.489 0.082
5 Cu 0.495 0.014 0.666
6 Cu 0.500 0.000 0.000
7 Cu 0.500 0.487 0.250
8 O 0.247 0.055 0.564
9 O 0.251 0.443 0.977
10 O 0.252 0.455 0.150
11 O 0.260 0.040 0.393
12 O 0.262 0.024 0.732
13 O 0.267 0.493 0.813

---

Structure and computed XRD peak list of BaCaAg4O8 (a crystal structure in the Materials Project, relaxed with GGA-PBE; CuKα).

Largest 10 diffraction maxima, sorted by position, 2θ from 10° to 90°:
| hkl | 2θ (°) | d/Å | I/Imax |
| --- | --- | --- | --- |
| 0 0 2 | 22.82 | 3.897 | 19.8 |
| 1 0 2 | 28.88 | 3.091 | 82.5 |
| 1 1 0 | 30.50 | 2.931 | 100.0 |
| 2 -1 2 | 38.43 | 2.342 | 11.9 |
| 2 0 2 | 42.51 | 2.127 | 33.6 |
| 0 0 4 | 46.61 | 1.948 | 12.0 |
| 2 1 2 | 53.21 | 1.721 | 32.5 |
| 3 0 0 | 54.21 | 1.692 | 26.1 |
| 2 -1 4 | 56.73 | 1.623 | 32.8 |
| 3 0 4 | 74.24 | 1.277 | 17.8 |

Cell and atoms:
Lattice parameters (Å, degrees): 5.8615 5.8615 7.7937 90.00 90.00 120.00
Space group P-31m (No. 162)
One atom of each set of equivalent atoms:
1 Ba 0.0000 0.0000 0.0000
2 Ca 0.0000 0.0000 0.5000
3 Ag 0.3333 0.6667 0.2628
4 O 0.0000 0.2935 0.2948
5 O 0.3333 0.6667 0.0000

---

Q: What is the formula in the first record?
A: Mg14VZn